For NaLaNiTe3, a PBE-relaxed structure gives the calculated X-ray diffraction stick pattern in this record (Cu Kα (λ = 1.5418 Å)).
No peak broadening, texture or thermal motion is included.

Largest 10 diffraction maxima, in order of rising 2θ, 2θ = 10–90°:
- 2θ 11.6, rel. 100.0
- 2θ 22.9, rel. 53.0
- 2θ 26.3, rel. 86.6
- 2θ 27.1, rel. 49.2
- 2θ 28.3, rel. 74.5
- 2θ 31.5, rel. 73.4
- 2θ 38.5, rel. 53.8
- 2θ 39.5, rel. 93.8
- 2θ 42.0, rel. 44.1
- 2θ 50.3, rel. 29.0

Structural model:
Lattice parameters (Å, degrees): 7.942 7.942 11.330 90.00 90.00 148.58
Element x y z (fractional)
Na1 0.249 0.751 0.750
Na2 0.751 0.249 0.250
La1 0.500 0.500 0.000
La2 0.500 0.500 0.500
Ni1 0.010 0.990 0.250
Ni2 0.990 0.010 0.750
Te1 0.135 0.865 0.101
Te2 0.135 0.865 0.399
Te3 0.410 0.590 0.250
Te4 0.590 0.410 0.750
Te5 0.865 0.135 0.601
Te6 0.865 0.135 0.899